The following is a computed X-ray powder pattern of V4OF11. It was derived from the GGA+U geometry in Alexandria, using a wavelength of 1.5418 Å.
No peak broadening, texture or thermal motion is included.

Main lines, in order of falling intensity (5 to 70 degrees two-theta):
2θ = 23.42°, 3.798 Å, I 100.0
2θ = 23.63°, 3.766 Å, I 51.6
2θ = 32.85°, 2.726 Å, I 21.5
2θ = 53.27°, 1.719 Å, I 12.3
2θ = 53.19°, 1.722 Å, I 12.3
2θ = 53.52°, 1.712 Å, I 11.7
2θ = 47.86°, 1.900 Å, I 10.9
2θ = 47.95°, 1.897 Å, I 10.6
2θ = 48.34°, 1.883 Å, I 10.4
2θ = 39.45°, 2.284 Å, I 10.0
2θ = 39.57°, 2.277 Å, I 9.6
2θ = 39.75°, 2.268 Å, I 8.8

a = 5.2523 Å, b = 5.4517 Å, c = 7.6115 Å
α = 92.88°, β = 90.23°, γ = 90.42°
Space group P1 (No. 1)
Unique sites:
1 V 0.0000 0.0000 0.0000 [1 per cell]
2 V 0.0013 0.0010 0.4995 [1 per cell]
3 V 0.4750 0.4815 0.0041 [1 per cell]
4 V 0.5021 0.5018 0.4998 [1 per cell]
5 O 0.2275 0.2908 0.0370 [1 per cell]
6 F 0.0960 0.9840 0.7484 [1 per cell]
7 F 0.1945 0.6961 0.4470 [1 per cell]
8 F 0.2913 0.7900 0.0536 [1 per cell]
9 F 0.3100 0.1956 0.4508 [1 per cell]
10 F 0.4045 0.5048 0.7499 [1 per cell]
11 F 0.6016 0.5021 0.2492 [1 per cell]
12 F 0.6920 0.8085 0.5475 [1 per cell]
13 F 0.7133 0.2125 0.9444 [1 per cell]
14 F 0.7740 0.7046 0.9605 [1 per cell]
15 F 0.8096 0.3067 0.5509 [1 per cell]
16 F 0.9023 0.0116 0.2505 [1 per cell]